Structure and computed X-ray powder pattern of Tb4Nd2SmHo2 (a GGA-PBE-relaxed structure; λ = 1.5418 Å (Cu Kα)).
No peak broadening, texture or thermal motion is included.

Top 10 peaks for 2θ = 10–90°, sorted by position:
(hkl)  Position (°2θ)  Rel. int.
2 1 1  29.62  70
0 2 1  31.19  100
1 0 -2  31.52  84
1 -1 2  31.63  86
1 2 -1  32.17  76
1 1 3  32.30  91
2 -1 0  42.53  26
0 1 -4  47.86  28
-1 2 3  55.32  36
0 1 5  58.24  31

a b c (Å): 6.037 6.649 8.610
angles (deg): 80.06 70.66 65.34
Space group P-1 (No. 2)
Symmetry-distinct sites (fractional):
Tb (0.122, 0.128, 0.258) [2 per cell]
Tb (0.238, 0.580, 0.386) [2 per cell]
Nd (0.228, 0.327, 0.842) [2 per cell]
Sm (0.500, 0.000, 0.500) [1 per cell]
Ho (0.322, 0.769, 0.944) [2 per cell]

=====

Structure and computed X-ray powder pattern of CsKRbAu2 (a GGA-PBE-relaxed structure; λ = 1.5418 Å (Cu Kα)).
No peak broadening, texture or thermal motion is included.

Top 10 peaks for 2θ = 10–90°, sorted by position:
(hkl)  Position (°2θ)  Rel. int.
0 0 1  12.49  28
1 0 0  16.98  16
0 1 1  21.14  58
1 1 0  29.64  100
0 1 2  30.49  86
1 1 1  32.27  18
2 0 2  43.04  34
3 0 0  52.59  20
1 2 2  53.13  36
1 0 4  54.71  18

a b c (Å): 6.0285 6.0285 7.0865
angles (deg): 90.00 90.00 120.00
Space group P3m1 (No. 156)
Symmetry-distinct sites (fractional):
Cs (0.0000, 0.0000, 0.0000) [1 per cell]
K (0.3333, 0.6667, 0.6891) [1 per cell]
Rb (0.6667, 0.3333, 0.3185) [1 per cell]
Au (0.3333, 0.6667, 0.1946) [1 per cell]
Au (0.6667, 0.3333, 0.8081) [1 per cell]

=====

Structure and computed X-ray powder pattern of Ca4SmHg2 (a GGA-PBE-relaxed structure; λ = 1.5418 Å (Cu Kα)).
No peak broadening, texture or thermal motion is included.

Top 10 peaks for 2θ = 10–90°, sorted by position:
(hkl)  Position (°2θ)  Rel. int.
1 0 1  18.25  100
1 0 4  22.42  21
0 0 9  30.31  18
1 1 0  31.33  88
0 1 8  32.50  48
0 2 1  36.49  19
1 0 10  38.50  25
1 1 9  44.15  40
2 0 8  45.77  18
1 2 8  56.51  20

a b c (Å): 5.7106 5.7106 26.5356
angles (deg): 90.00 90.00 120.00
Space group R-3m (No. 166, hexagonal axes)
Symmetry-distinct sites (fractional):
Ca (0.0000, 0.0000, 0.1133) [6 per cell]
Ca (0.0000, 0.0000, 0.2726) [6 per cell]
Sm (0.0000, 0.0000, 0.5000) [3 per cell]
Hg (0.0000, 0.0000, 0.3892) [6 per cell]

=====

Structure and computed X-ray powder pattern of Ca3Ge7Pd2 (a GGA-PBE-relaxed structure; λ = 1.5418 Å (Cu Kα)).
No peak broadening, texture or thermal motion is included.

Top 10 peaks for 2θ = 10–90°, sorted by position:
(hkl)  Position (°2θ)  Rel. int.
0 1 0  20.33  29
1 1 -2  30.89  30
1 1 -3  33.78  100
1 1 -4  37.75  71
0 2 0  41.34  55
2 0 -1  42.04  52
1 1 4  42.55  29
1 0 -6  42.99  29
0 0 7  48.00  39
2 2 -1  60.43  37

a b c (Å): 4.299 4.368 13.438
angles (deg): 90.00 99.09 90.00
Space group P2/m (No. 10)
Symmetry-distinct sites (fractional):
Ca (0.000, 0.000, 0.000) [1 per cell]
Ca (0.319, 0.500, 0.637) [2 per cell]
Ge (0.082, 0.500, 0.164) [2 per cell]
Ge (0.225, 0.000, 0.449) [2 per cell]
Ge (0.419, 0.000, 0.837) [2 per cell]
Ge (0.500, 0.500, 0.000) [1 per cell]
Pd (0.131, 0.000, 0.263) [2 per cell]

=====

Structure and computed X-ray powder pattern of Fe5GeB2 (a GGA-PBE-relaxed structure; λ = 1.5418 Å (Cu Kα)).
No peak broadening, texture or thermal motion is included.

Top 10 peaks for 2θ = 10–90°, sorted by position:
(hkl)  Position (°2θ)  Rel. int.
1 1 0  22.65  26
2 1 1  37.20  76
1 1 4  41.31  80
2 1 3  44.71  84
2 2 0  46.25  33
2 0 4  47.62  100
3 1 0  52.09  78
2 1 5  57.39  18
4 0 4  77.79  18
3 3 4  82.28  36

a b c (Å): 5.553 5.553 10.524
angles (deg): 90.00 90.00 90.00
Space group I4/mcm (No. 140)
Symmetry-distinct sites (fractional):
Fe (0.000, 0.000, 0.000) [4 per cell]
Fe (0.168, 0.332, 0.132) [16 per cell]
Ge (0.000, 0.000, 0.250) [4 per cell]
B (0.120, 0.380, 0.500) [8 per cell]

=====

Structure and computed X-ray powder pattern of Cs2NpTe4Pd2 (a GGA-PBE-relaxed structure; λ = 1.5418 Å (Cu Kα)).
No peak broadening, texture or thermal motion is included.

Top 10 peaks for 2θ = 10–90°, sorted by position:
(hkl)  Position (°2θ)  Rel. int.
0 0 1  10.32  100
3 1 -1  26.48  32
4 0 1  28.07  34
1 1 -2  28.21  99
3 1 -2  30.37  83
6 0 0  34.92  31
3 1 2  37.05  47
0 2 0  40.47  37
7 1 -2  45.12  34
3 1 3  45.48  52

a b c (Å): 16.152 4.457 8.980
angles (deg): 90.00 107.32 90.00
Space group C2/m (No. 12)
Symmetry-distinct sites (fractional):
Cs (0.137, 0.000, 0.070) [4 per cell]
Np (0.000, 0.000, 0.500) [2 per cell]
Te (0.014, 0.500, 0.274) [4 per cell]
Te (0.194, 0.000, 0.658) [4 per cell]
Pd (0.180, 0.500, 0.486) [4 per cell]

=====

Structure and computed X-ray powder pattern of ThVTe2N (a GGA-PBE-relaxed structure; λ = 1.5418 Å (Cu Kα)).
No peak broadening, texture or thermal motion is included.

Top 10 peaks for 2θ = 10–90°, sorted by position:
(hkl)  Position (°2θ)  Rel. int.
0 0 2  11.90  11
1 0 3  28.45  100
1 1 0  31.23  64
1 0 4  32.69  20
0 0 6  36.23  14
2 0 0  44.75  26
1 1 6  48.57  26
2 1 3  53.89  35
2 0 6  58.88  13
3 1 6  85.29  12

a b c (Å): 4.050 4.050 14.875
angles (deg): 90.00 90.00 90.00
Space group P4/nmm (No. 129, origin choice 2)
Symmetry-distinct sites (fractional):
Th (0.250, 0.250, 0.079) [2 per cell]
V (0.250, 0.250, 0.607) [2 per cell]
Te (0.250, 0.250, 0.416) [2 per cell]
Te (0.250, 0.250, 0.785) [2 per cell]
N (0.250, 0.750, 0.000) [2 per cell]

=====

Structure and computed X-ray powder pattern of SmNpAgO6 (a GGA-PBE-relaxed structure; λ = 1.5418 Å (Cu Kα)).
No peak broadening, texture or thermal motion is included.

Top 10 peaks for 2θ = 10–90°, sorted by position:
(hkl)  Position (°2θ)  Rel. int.
0 0 2  17.45  17
1 0 1  20.37  20
1 0 2  25.45  100
1 1 0  32.13  53
1 1 2  36.79  16
2 0 2  41.43  27
1 1 4  48.48  48
2 1 2  53.37  26
3 0 0  57.29  19
3 0 4  69.12  13

a b c (Å): 5.5720 5.5720 10.1659
angles (deg): 90.00 90.00 120.00
Space group P-31c (No. 163)
Symmetry-distinct sites (fractional):
Sm (0.0000, 0.0000, 0.0000) [2 per cell]
Np (0.3333, 0.6667, 0.2500) [2 per cell]
Ag (0.3333, 0.6667, 0.7500) [2 per cell]
O (0.0414, 0.3636, 0.1348) [12 per cell]

=====

Structure and computed X-ray powder pattern of Sr3B2N4 (a GGA-PBE-relaxed structure; λ = 1.5418 Å (Cu Kα)).
No peak broadening, texture or thermal motion is included.

Top 10 peaks for 2θ = 10–90°, sorted by position:
(hkl)  Position (°2θ)  Rel. int.
2 0 0  23.14  40
2 1 0  25.92  12
2 2 0  32.96  100
2 2 2  40.66  22
4 0 0  47.31  21
4 2 0  53.30  21
4 2 2  58.86  28
4 4 0  69.13  10
4 4 2  74.00  9
6 2 0  78.74  15

a b c (Å): 7.686 7.686 7.686
angles (deg): 90.00 90.00 90.00
Space group Pm-3m (No. 221)
Symmetry-distinct sites (fractional):
Sr (0.000, 0.000, 0.000) [1 per cell]
Sr (0.263, 0.263, 0.263) [8 per cell]
B (0.000, 0.000, 0.500) [3 per cell]
B (0.000, 0.500, 0.500) [3 per cell]
N (0.000, 0.000, 0.325) [6 per cell]
N (0.175, 0.500, 0.500) [6 per cell]

=====

Structure and computed X-ray powder pattern of K5Na6 (a GGA-PBE-relaxed structure; λ = 1.5418 Å (Cu Kα)).
No peak broadening, texture or thermal motion is included.

Top 10 peaks for 2θ = 10–90°, sorted by position:
(hkl)  Position (°2θ)  Rel. int.
2 0 0  20.55  42
1 3 1  23.99  72
0 4 1  24.60  70
2 0 -2  24.81  100
1 1 2  28.00  38
2 4 -1  29.74  64
1 5 -1  30.23  30
3 1 0  31.52  28
1 3 -3  35.82  29
3 3 1  40.22  27

a b c (Å): 9.160 16.223 8.489
angles (deg): 90.00 109.24 90.00
Space group C2/m (No. 12)
Symmetry-distinct sites (fractional):
K (0.000, 0.000, 0.000) [2 per cell]
K (0.000, 0.156, 0.500) [4 per cell]
K (0.000, 0.277, 0.000) [4 per cell]
Na (0.142, 0.500, 0.222) [4 per cell]
Na (0.158, 0.391, 0.666) [8 per cell]

=====

Structure and computed X-ray powder pattern of YSc5Ga3 (a GGA-PBE-relaxed structure; λ = 1.5418 Å (Cu Kα)).
No peak broadening, texture or thermal motion is included.

Top 10 peaks for 2θ = 10–90°, sorted by position:
(hkl)  Position (°2θ)  Rel. int.
1 1 1  25.48  10
1 1 2  35.81  97
3 0 0  36.86  100
3 0 2  47.34  10
2 2 2  52.33  31
4 1 2  65.72  30
3 3 0  66.40  16
3 0 4  71.91  25
6 0 0  78.44  10
5 2 2  89.35  12

a b c (Å): 8.4472 8.4472 6.2324
angles (deg): 90.00 90.00 120.00
Space group P6_3/mcm (No. 193)
Symmetry-distinct sites (fractional):
Y (0.0000, 0.0000, 0.0000) [2 per cell]
Sc (0.0000, 0.3395, 0.2500) [6 per cell]
Sc (0.3333, 0.6667, 0.0000) [4 per cell]
Ga (0.0000, 0.3339, 0.7500) [6 per cell]

=====

Structure and computed X-ray powder pattern of SrNpTl2Cl8 (a GGA-PBE-relaxed structure; λ = 1.5418 Å (Cu Kα)).
No peak broadening, texture or thermal motion is included.

Top 10 peaks for 2θ = 10–90°, sorted by position:
(hkl)  Position (°2θ)  Rel. int.
1 1 0  16.07  20
1 0 -1  17.29  77
1 0 1  18.09  59
1 2 0  23.83  100
0 0 2  25.11  31
2 2 -1  34.48  69
2 2 1  35.33  50
2 0 2  36.66  17
0 2 3  43.42  23
1 4 3  59.28  16

a b c (Å): 7.082 8.787 7.109
angles (deg): 90.00 92.58 90.00
Space group P2/m (No. 10)
Symmetry-distinct sites (fractional):
Sr (0.000, 0.000, 0.000) [1 per cell]
Np (0.000, 0.500, 0.000) [1 per cell]
Tl (0.500, 0.246, 0.500) [2 per cell]
Cl (0.200, 0.500, 0.310) [2 per cell]
Cl (0.210, 0.276, 0.870) [4 per cell]
Cl (0.255, 0.000, 0.322) [2 per cell]

=====

Structure and computed X-ray powder pattern of Ca2Sn2Pd15 (a GGA-PBE-relaxed structure; λ = 1.5418 Å (Cu Kα)).
No peak broadening, texture or thermal motion is included.

Top 10 peaks for 2θ = 10–90°, sorted by position:
(hkl)  Position (°2θ)  Rel. int.
1 0 1  12.76  16
0 0 3  19.20  26
3 0 0  33.58  16
0 2 4  34.19  15
0 0 6  38.95  100
2 0 5  39.50  16
2 2 3  43.77  94
6 0 0  70.55  28
4 4 0  83.67  14
4 4 3  86.87  12

a b c (Å): 9.2444 9.2444 13.8850
angles (deg): 90.00 90.00 120.00
Space group R-3m (No. 166, hexagonal axes)
Symmetry-distinct sites (fractional):
Ca (0.0000, 0.0000, 0.1446) [6 per cell]
Sn (0.0000, 0.0000, 0.3933) [6 per cell]
Pd (0.0000, 0.3045, 0.5000) [18 per cell]
Pd (0.0000, 0.5000, 0.0000) [9 per cell]
Pd (0.0020, 0.5010, 0.6538) [18 per cell]